Entry 1:
# Mg14NbGa
Theoretical X-ray powder pattern, Cu Kα (λ = 1.5418 Å). Input: a structure optimized by DFT (GGA-PBE).

Atomic structure:
a b c (Å): 6.2728 6.2728 10.0977
angles (deg): 90.00 90.00 120.00
Space group P-6m2 (No. 187)
Asymmetric unit:
Mg 0.0000 0.0000 0.2466 [2 per cell]
Mg 0.0120 0.5060 0.2483 [6 per cell]
Mg 0.3327 0.1663 0.5000 [3 per cell]
Mg 0.3364 0.1682 0.0000 [3 per cell]
Nb 0.3333 0.6667 0.0000 [1 per cell]
Ga 0.3333 0.6667 0.5000 [1 per cell]

Largest 8 diffraction maxima, by intensity, 2θ = 10–90°:
2theta, I_rel, index
37.60, 100, 2 0 2
16.32, 29, 1 0 0
32.98, 27, 2 0 0
35.56, 26, 0 0 4
70.72, 19, 2 2 4
24.06, 19, 1 0 2
65.21, 19, 2 0 6
49.28, 17, 2 0 4


Entry 2:
# Mg14NbGa
Theoretical X-ray powder pattern, Cu Kα (λ = 1.5418 Å). Input: a structure optimized by DFT (GGA-PBE).

Atomic structure:
a b c (Å): 10.148 6.214 10.955
angles (deg): 90.00 90.00 90.00
Space group Amm2 (No. 38)
Asymmetric unit:
Mg 0.000 0.000 0.000 [2 per cell]
Mg 0.000 0.000 0.500 [2 per cell]
Mg 0.000 0.250 0.250 [4 per cell]
Mg 0.253 0.000 0.165 [4 per cell]
Mg 0.254 0.000 0.663 [4 per cell]
Mg 0.257 0.248 0.419 [8 per cell]
Mg 0.500 0.248 0.750 [4 per cell]
Nb 0.500 0.000 0.502 [2 per cell]
Ga 0.500 0.000 0.000 [2 per cell]

Largest 8 diffraction maxima, by intensity, 2θ = 10–90°:
2theta, I_rel, index
37.71, 100, 2 2 2
37.31, 53, 2 0 4
35.38, 39, 4 0 0
33.15, 28, 0 2 2
18.41, 21, 1 0 2
65.05, 20, 6 2 2
70.39, 19, 4 2 6
49.26, 18, 4 2 2


Entry 3:
# MgNb2Ga2O8
Theoretical X-ray powder pattern, Cu Kα (λ = 1.5418 Å). Input: a structure optimized by DFT (GGA-PBE).

Atomic structure:
a b c (Å): 13.264 3.694 6.812
angles (deg): 90.00 110.16 90.00
Space group C2 (No. 5)
Asymmetric unit:
Mg 0.000 0.000 0.000 [2 per cell]
Nb 0.109 0.502 0.715 [4 per cell]
Ga 0.190 0.501 0.305 [4 per cell]
O 0.056 0.502 0.384 [4 per cell]
O 0.098 0.501 0.015 [4 per cell]
O 0.166 0.001 0.764 [4 per cell]
O 0.235 0.001 0.353 [4 per cell]

Largest 8 diffraction maxima, by intensity, 2θ = 10–90°:
2theta, I_rel, index
25.15, 100, 1 1 0
32.47, 83, 4 0 -2
27.90, 57, 0 0 2
49.34, 38, 0 2 0
23.12, 34, 2 0 1
42.40, 31, 0 0 3
54.54, 29, 7 1 -1
32.25, 28, 3 1 -1